1.
Diffraction record for DyHoTc4. The PXRD pattern is simulated, not measured: it uses a DFT-relaxed cell (GGA-PBE, Alexandria) and copper Kα.
Peak positions follow from Bragg's law for the DFT cell and can differ from measured ones.

Structural model:
```
DyHoTc4
1.0
0.0000 3.8178 3.8178
3.8178 0.0000 3.8178
3.8178 3.8178 0.0000
Dy Ho Tc
1 1 4
Direct
0.0000 0.0000 0.0000
0.7500 0.7500 0.7500
0.3750 0.3750 0.3750
0.3750 0.3750 0.8750
0.3750 0.8750 0.3750
0.8750 0.3750 0.3750
```

Peak list (10 most intense, 2θ from 15° to 90°, by angle)
2θ 20.14, d = 4.408 Å, I 1; 2θ 33.19, d = 2.700 Å, I 44; 2θ 39.13, d = 2.302 Å, I 100; 2θ 40.94, d = 2.204 Å, I 26; 2θ 59.29, d = 1.559 Å, I 17; 2θ 63.29, d = 1.469 Å, I 32; 2θ 69.66, d = 1.350 Å, I 26; 2θ 79.37, d = 1.207 Å, I 7; 2θ 82.92, d = 1.164 Å, I 11; 2θ 84.09, d = 1.151 Å, I 9

***

2.
Diffraction record for Dy2HoTc9. The PXRD pattern is simulated, not measured: it uses a DFT-relaxed cell (GGA-PBE, Alexandria) and copper Kα.
Peak positions follow from Bragg's law for the DFT cell and can differ from measured ones.

Structural model:
```
Dy2HoTc9
1.0
2.6719 1.5426 8.7421
-2.6719 1.5426 8.7421
0.0000 -3.0853 8.7421
Dy Ho Tc
2 1 9
Direct
0.1437 0.1437 0.1437
0.8563 0.8563 0.8563
0.0000 0.0000 0.0000
0.0736 0.5881 0.5881
0.3377 0.3377 0.3377
0.4119 0.4119 0.9264
0.4119 0.9264 0.4119
0.5000 0.5000 0.5000
0.5881 0.0736 0.5881
0.5881 0.5881 0.0736
0.6623 0.6623 0.6623
0.9264 0.4119 0.4119
```

Peak list (10 most intense, 2θ from 15° to 90°, by angle)
2θ 30.70, d = 2.912 Å, I 20; 2θ 33.52, d = 2.673 Å, I 54; 2θ 39.08, d = 2.305 Å, I 27; 2θ 39.53, d = 2.280 Å, I 100; 2θ 41.33, d = 2.184 Å, I 27; 2θ 42.69, d = 2.118 Å, I 24; 2θ 63.94, d = 1.456 Å, I 12; 2θ 64.00, d = 1.455 Å, I 21; 2θ 70.48, d = 1.336 Å, I 20; 2θ 85.11, d = 1.140 Å, I 12

***

3.
Diffraction record for Dy2Ho7Tc2. The PXRD pattern is simulated, not measured: it uses a DFT-relaxed cell (GGA-PBE, Alexandria) and copper Kα.
Peak positions follow from Bragg's law for the DFT cell and can differ from measured ones.

Structural model:
```
Dy2Ho7Tc2
1.0
-1.7770 9.4622 4.6865
1.7770 -9.4622 4.6865
1.7770 9.4622 -4.6865
Dy Ho Tc
2 7 2
Direct
0.2456 0.0000 0.2456
0.7544 0.0000 0.7544
0.0684 0.4864 0.5820
0.1890 0.3045 0.8845
0.4201 0.3045 0.1155
0.5400 0.0400 0.5000
0.5622 0.7012 0.8611
0.8401 0.7012 0.1389
0.9044 0.4864 0.4180
0.2386 0.7386 0.5000
0.7820 0.7820 0.0000
```

Peak list (10 most intense, 2θ from 15° to 90°, by angle)
2θ 26.78, d = 3.329 Å, I 40; 2θ 28.83, d = 3.096 Å, I 36; 2θ 31.96, d = 2.800 Å, I 100; 2θ 32.94, d = 2.719 Å, I 85; 2θ 34.27, d = 2.617 Å, I 32; 2θ 34.54, d = 2.597 Å, I 25; 2θ 37.32, d = 2.409 Å, I 23; 2θ 38.39, d = 2.345 Å, I 43; 2θ 55.14, d = 1.666 Å, I 35; 2θ 59.03, d = 1.565 Å, I 30

***

4.
Diffraction record for Dy2HoTe4. The PXRD pattern is simulated, not measured: it uses a DFT-relaxed cell (GGA-PBE, Alexandria) and copper Kα.
Peak positions follow from Bragg's law for the DFT cell and can differ from measured ones.

Structural model:
```
Dy2HoTe4
1.0
8.1094 -2.1678 0.0000
8.1094 2.1678 0.0000
-3.4891 0.0000 6.7093
Dy Ho Te
2 1 4
Direct
0.2440 0.2440 0.2298
0.7560 0.7560 0.7702
0.5000 0.5000 0.5000
0.1281 0.1281 0.4654
0.3803 0.3803 0.0490
0.6197 0.6197 0.9510
0.8719 0.8719 0.5346
```

Peak list (10 most intense, 2θ from 15° to 90°, by angle)
2θ 26.72, d = 3.337 Å, I 88; 2θ 34.31, d = 2.613 Å, I 20; 2θ 34.50, d = 2.599 Å, I 100; 2θ 41.44, d = 2.179 Å, I 43; 2θ 41.66, d = 2.168 Å, I 22; 2θ 44.88, d = 2.020 Å, I 13; 2θ 50.76, d = 1.799 Å, I 12; 2θ 55.02, d = 1.669 Å, I 17; 2θ 55.18, d = 1.665 Å, I 11; 2θ 67.70, d = 1.384 Å, I 20

***

5.
Diffraction record for DyHoTe6. The PXRD pattern is simulated, not measured: it uses a DFT-relaxed cell (GGA-PBE, Alexandria) and copper Kα.
Peak positions follow from Bragg's law for the DFT cell and can differ from measured ones.

Structural model:
```
DyHoTe6
1.0
4.3378 0.0000 0.0000
0.0000 2.1677 13.3277
0.0000 -2.1677 13.3277
Dy Ho Te
1 1 6
Direct
0.0000 0.0000 0.0000
0.5000 0.6546 0.6546
0.0000 0.1199 0.1199
0.0000 0.4059 0.4059
0.0000 0.7483 0.7483
0.5000 0.2485 0.2485
0.5000 0.5351 0.5351
0.5000 0.9060 0.9060
```

Peak list (10 most intense, 2θ from 15° to 90°, by angle)
2θ 26.76, d = 3.332 Å, I 37; 2θ 29.32, d = 3.046 Å, I 19; 2θ 30.85, d = 2.899 Å, I 100; 2θ 33.71, d = 2.659 Å, I 42; 2θ 33.93, d = 2.642 Å, I 14; 2θ 37.66, d = 2.388 Å, I 35; 2θ 41.65, d = 2.168 Å, I 50; 2θ 50.20, d = 1.817 Å, I 26; 2θ 60.37, d = 1.533 Å, I 17; 2θ 69.34, d = 1.355 Å, I 19

***

6.
Diffraction record for Dy4HoTh6. The PXRD pattern is simulated, not measured: it uses a DFT-relaxed cell (GGA-PBE, Alexandria) and copper Kα.
Peak positions follow from Bragg's law for the DFT cell and can differ from measured ones.

Structural model:
```
Dy4HoTh6
1.0
-3.1981 3.1981 8.9909
3.1981 -3.1981 8.9909
3.1981 3.1981 -8.9909
Dy Ho Th
4 1 6
Direct
0.1897 0.1897 0.6313
0.4417 0.8103 0.0000
0.5583 0.5583 0.3687
0.8103 0.4417 0.0000
0.0000 0.0000 0.0000
0.0002 0.0002 0.6228
0.0000 0.5000 0.5000
0.9998 0.6226 0.0000
0.3774 0.3774 0.3772
0.5000 0.0000 0.5000
0.6226 0.9998 0.0000
```

Peak list (10 most intense, 2θ from 15° to 90°, by angle)
2θ 27.97, d = 3.190 Å, I 75; 2θ 28.47, d = 3.135 Å, I 38; 2θ 29.65, d = 3.013 Å, I 92; 2θ 29.81, d = 2.997 Å, I 30; 2θ 31.67, d = 2.825 Å, I 100; 2θ 34.42, d = 2.606 Å, I 56; 2θ 35.95, d = 2.498 Å, I 60; 2θ 39.86, d = 2.261 Å, I 34; 2θ 44.83, d = 2.022 Å, I 26; 2θ 59.84, d = 1.546 Å, I 32

***

7.
Diffraction record for Dy2Ho2Th. The PXRD pattern is simulated, not measured: it uses a DFT-relaxed cell (GGA-PBE, Alexandria) and copper Kα.
Peak positions follow from Bragg's law for the DFT cell and can differ from measured ones.

Structural model:
```
Dy2Ho2Th
1.0
7.9771 -3.0251 0.0000
7.9771 3.0251 0.0000
-1.4952 0.0000 6.6366
Dy Ho Th
4 4 2
Direct
0.1466 0.2431 0.0807
0.2431 0.1466 0.5807
0.7569 0.8534 0.4193
0.8534 0.7569 0.9193
0.3281 0.4812 0.3476
0.4812 0.3281 0.8476
0.5188 0.6719 0.1524
0.6719 0.5188 0.6524
0.0707 0.9293 0.7500
0.9293 0.0707 0.2500
```

Peak list (10 most intense, 2θ from 15° to 90°, by angle)
2θ 29.53, d = 3.025 Å, I 18; 2θ 31.55, d = 2.836 Å, I 32; 2θ 32.30, d = 2.772 Å, I 100; 2θ 32.53, d = 2.753 Å, I 26; 2θ 35.57, d = 2.524 Å, I 12; 2θ 43.75, d = 2.069 Å, I 12; 2θ 48.78, d = 1.867 Å, I 8; 2θ 54.31, d = 1.689 Å, I 9; 2θ 56.56, d = 1.627 Å, I 8; 2θ 56.75, d = 1.622 Å, I 11

***

8.
Diffraction record for Dy3HoTh. The PXRD pattern is simulated, not measured: it uses a DFT-relaxed cell (GGA-PBE, Alexandria) and copper Kα.
Peak positions follow from Bragg's law for the DFT cell and can differ from measured ones.

Structural model:
```
Dy3HoTh
1.0
6.2391 0.0000 0.0000
-0.0230 6.7318 0.0000
-3.0900 -1.9324 7.6154
Dy Ho Th
6 2 2
Direct
0.0206 0.4441 0.1983
0.3843 0.3406 0.5959
0.4096 0.2467 0.9986
0.5904 0.7533 0.0014
0.6157 0.6594 0.4041
0.9794 0.5559 0.8017
0.2170 0.8457 0.5990
0.7830 0.1543 0.4010
0.1746 0.9457 0.1974
0.8254 0.0543 0.8026
```

Peak list (10 most intense, 2θ from 15° to 90°, by angle)
2θ 28.62, d = 3.119 Å, I 36; 2θ 31.42, d = 2.848 Å, I 37; 2θ 32.67, d = 2.741 Å, I 51; 2θ 32.77, d = 2.733 Å, I 100; 2θ 43.04, d = 2.101 Å, I 12; 2θ 50.70, d = 1.801 Å, I 29; 2θ 60.74, d = 1.525 Å, I 11; 2θ 60.97, d = 1.520 Å, I 17; 2θ 61.71, d = 1.503 Å, I 16; 2θ 83.85, d = 1.154 Å, I 14